(1)
Starting from the GGA+U geometry in the Materials Project, the powder diffractogram of Ba3Ta2NiO9 was simulated for λ = 1.5418 Å (Cu Kα).
Neutral-atom scattering factors, no anomalous dispersion.

Largest 10 diffraction maxima, most intense first, 2θ from 10° to 90°:
hkl 1 1 0, 2θ 30.7, d = 2.917 Å, I 100
hkl 3 0 0, 2θ 54.5, d = 1.683 Å, I 30
hkl 0 2 2, 2θ 43.9, d = 2.062 Å, I 29
hkl 4 1 0, 2θ 88.9, d = 1.101 Å, I 11
hkl 0 1 4, 2θ 54.4, d = 1.688 Å, I 10
hkl 2 0 4, 2θ 63.7, d = 1.460 Å, I 9
hkl 2 2 0, 2θ 63.9, d = 1.456 Å, I 9
hkl 1 2 4, 2θ 72.4, d = 1.305 Å, I 9
hkl 1 3 2, 2θ 72.5, d = 1.303 Å, I 9
hkl 3 1 4, 2θ 88.7, d = 1.103 Å, I 5

Crystal structure
```
data_Ba3Ta2NiO9
_chemical_formula_sum 'Ba3 Ta2 Ni1 O9'
_cell_length_a 5.8254
_cell_length_b 5.8254
_cell_length_c 7.1639
_cell_angle_alpha 90.00
_cell_angle_beta 90.00
_cell_angle_gamma 120.00
_symmetry_space_group_name_H-M 'P -3 m 1'
_symmetry_Int_Tables_number 164
_symmetry_space_group_name_Hall '-P 3 2"'
loop_
_atom_site_label
_atom_site_fract_x
_atom_site_fract_y
_atom_site_fract_z
Ba1 0.0000 0.0000 0.0000
Ba2 0.3333 0.6667 0.3384
Ta1 0.3333 0.6667 0.8236
Ni1 0.0000 0.0000 0.5000
O1 0.0000 0.5000 0.0000
O2 0.1717 0.3434 0.6753
```

(2)
Starting from the GGA+U geometry in the Materials Project, the powder diffractogram of BaTlNi2O6 was simulated for λ = 1.5418 Å (Cu Kα).
Neutral-atom scattering factors, no anomalous dispersion.

Largest 10 diffraction maxima, most intense first, 2θ from 10° to 90°:
hkl 1 1 -4, 2θ 27.9, d = 3.195 Å, I 100
hkl 1 1 3, 2θ 27.8, d = 3.208 Å, I 98
hkl 2 0 -1, 2θ 34.7, d = 2.584 Å, I 96
hkl 1 1 4, 2θ 29.9, d = 2.986 Å, I 95
hkl 1 1 -5, 2θ 30.1, d = 2.972 Å, I 93
hkl 2 2 -1, 2θ 49.8, d = 1.833 Å, I 72
hkl 0 0 8, 2θ 31.1, d = 2.876 Å, I 72
hkl 0 2 0, 2θ 34.5, d = 2.598 Å, I 63
hkl 0 2 8, 2θ 47.1, d = 1.928 Å, I 57
hkl 0 0 9, 2θ 35.1, d = 2.555 Å, I 34

Crystal structure
```
data_BaTlNi2O6
_chemical_formula_sum 'Ba4 Tl4 Ni8 O24'
_cell_length_a 5.170
_cell_length_b 5.197
_cell_length_c 23.132
_cell_angle_alpha 90.00
_cell_angle_beta 96.03
_cell_angle_gamma 90.00
_symmetry_space_group_name_H-M 'C 1 2 1'
_symmetry_Int_Tables_number 5
loop_
_symmetry_equiv_pos_as_xyz
'x,y,z'
'-x,y,-z'
'x+1/2,y+1/2,z'
'-x+1/2,y+1/2,-z'
loop_
_atom_site_label
_atom_site_fract_x
_atom_site_fract_y
_atom_site_fract_z
Ba1 0.159 0.000 0.312
Tl1 0.224 0.504 0.447
Ni1 0.040 0.505 0.074
Ni2 0.110 0.500 0.211
O1 0.130 0.752 0.772
O2 0.139 0.248 0.775
O3 0.182 0.501 0.359
O4 0.209 0.755 0.925
O5 0.210 0.255 0.926
O6 0.232 0.995 0.461
```